This entry pairs a crystal structure of MgB2PdS with its theoretical X-ray diffraction stick pattern. Radiation: Cu Ka. Structure: a structure optimized by DFT (PBE).
No peak broadening, texture or thermal motion is included.

Most intense lines, 5 to 70 degrees two-theta, most intense first:
2θ = 20.83°, 4.264 Å, I = 100, (1 0 0); 2θ = 29.63°, 3.015 Å, I = 95, (1 1 0); 2θ = 34.96°, 2.566 Å, I = 93, (1 1 1); 2θ = 18.14°, 4.890 Å, I = 67, (0 0 1); 2θ = 42.40°, 2.132 Å, I = 51, (2 0 0); 2θ = 47.90°, 1.899 Å, I = 49, (1 1 2); 2θ = 57.34°, 1.607 Å, I = 40, (2 0 2); 2θ = 36.76°, 2.445 Å, I = 39, (0 0 2); 2θ = 42.63°, 2.121 Å, I = 32, (1 0 2); 2θ = 46.47°, 1.954 Å, I = 24, (2 0 1)

Crystal structure
```
MgB2PdS
1.0
4.2635 0.0000 0.0000
0.0000 4.2635 0.0000
0.0000 0.0000 4.8902
Mg B Pd S
1 2 1 1
Direct
0.0000 0.0000 0.0000 Mg
0.0000 0.5000 0.0000 B
0.5000 0.0000 0.0000 B
0.0000 0.0000 0.5000 Pd
0.5000 0.5000 0.5000 S
```